Record 1
Sr3Li4Sb4: computed powder X-ray diffraction pattern (Cu Kα), based on a crystal structure in the Materials Project, relaxed with GGA-PBE.
Peak positions follow from Bragg's law for the DFT cell and can differ from measured ones.

Crystal structure
```
11
Lattice="-2.426 3.773 7.949 2.426 -3.773 7.949 2.426 3.773 -7.949" Properties=species:S:1:pos:R:3 pbc="T T T"
Sr 0.000 0.000 0.000
Sr 2.426 0.000 5.884
Sr 0.000 3.773 2.065
Li 2.426 1.462 -2.818
Li 2.426 1.462 2.818
Li 0.000 2.311 5.131
Li 0.000 2.311 10.768
Sb 0.000 0.000 3.396
Sb 2.426 2.330 0.000
Sb 0.000 1.443 7.949
Sb 0.000 0.000 12.503
```

Peak list (12 most intense, 2θ from 10° to 80°, sorted by position)
2θ = 21.78°, intensity 25; 2θ = 22.37°, intensity 19; 2θ = 23.58°, intensity 18; 2θ = 24.88°, intensity 58; 2θ = 26.15°, intensity 28; 2θ = 30.53°, intensity 100; 2θ = 31.42°, intensity 90; 2θ = 37.06°, intensity 34; 2θ = 41.54°, intensity 39; 2θ = 42.03°, intensity 19; 2θ = 45.98°, intensity 35; 2θ = 60.49°, intensity 20

=====

Record 2
Li11TiSb5: computed powder X-ray diffraction pattern (Cu Kα), based on a crystal structure in the Materials Project, relaxed with GGA-PBE.
Peak positions follow from Bragg's law for the DFT cell and can differ from measured ones.

Crystal structure
```
17
Lattice="7.618 -2.283 0.000 7.618 2.283 0.000 -5.309 0.000 10.029" Properties=species:S:1:pos:R:3 pbc="T T T"
Li 0.000 0.000 0.000
Li -1.318 0.000 2.514
Li -3.906 0.000 7.521
Li 2.804 0.000 0.300
Li 1.425 0.000 8.445
Li 4.386 0.000 3.569
Li 5.521 0.000 6.641
Li 8.168 0.000 1.689
Li 6.961 0.000 9.373
Li 11.110 0.000 1.851
Li 9.920 0.000 4.559
Ti 0.091 0.000 5.413
Sb -2.519 0.000 5.017
Sb 1.484 0.000 3.097
Sb 5.481 0.000 0.957
Sb 4.120 0.000 9.155
Sb 8.372 0.000 6.843
```

Peak list (12 most intense, 2θ from 10° to 80°, sorted by position)
2θ = 23.59°, intensity 100; 2θ = 26.68°, intensity 14; 2θ = 27.61°, intensity 25; 2θ = 38.72°, intensity 18; 2θ = 38.82°, intensity 18; 2θ = 39.45°, intensity 18; 2θ = 45.26°, intensity 12; 2θ = 46.44°, intensity 16; 2θ = 46.51°, intensity 15; 2θ = 48.29°, intensity 8; 2θ = 61.51°, intensity 6; 2θ = 71.13°, intensity 8

=====

Record 3
Li2TlSb: computed powder X-ray diffraction pattern (Cu Kα), based on a crystal structure in the Materials Project, relaxed with GGA-PBE.
Peak positions follow from Bragg's law for the DFT cell and can differ from measured ones.

Crystal structure
```
4
Lattice="0.000 3.539 3.539 3.539 0.000 3.539 3.539 3.539 0.000" Properties=species:S:1:pos:R:3 pbc="T T T"
Li 1.769 1.769 1.769
Li 5.308 5.308 5.308
Tl 0.000 0.000 0.000
Sb 3.539 3.539 3.539
```

Peak list (11 most intense, 2θ from 10° to 80°, sorted by position)
2θ = 21.75°, intensity 11; 2θ = 25.16°, intensity 100; 2θ = 35.89°, intensity 91; 2θ = 42.35°, intensity 7; 2θ = 44.33°, intensity 30; 2θ = 51.66°, intensity 16; 2θ = 56.69°, intensity 3; 2θ = 58.30°, intensity 40; 2θ = 64.50°, intensity 33; 2θ = 68.94°, intensity 2; 2θ = 76.07°, intensity 10

=====

Record 4
LiVSb: computed powder X-ray diffraction pattern (Cu Kα), based on a crystal structure in the Materials Project, relaxed with GGA-PBE.
Peak positions follow from Bragg's law for the DFT cell and can differ from measured ones.

Crystal structure
```
3
Lattice="0.000 3.205 3.205 3.205 0.000 3.205 3.205 3.205 0.000" Properties=species:S:1:pos:R:3 pbc="T T T"
Li 0.000 0.000 0.000
V 4.808 4.808 4.808
Sb 3.205 3.205 3.205
```

Peak list (10 most intense, 2θ from 10° to 80°, sorted by position)
2θ = 24.04°, intensity 100; 2θ = 27.83°, intensity 18; 2θ = 39.77°, intensity 76; 2θ = 47.01°, intensity 48; 2θ = 49.23°, intensity 5; 2θ = 57.50°, intensity 12; 2θ = 63.22°, intensity 19; 2θ = 65.06°, intensity 7; 2θ = 72.19°, intensity 25; 2θ = 77.34°, intensity 14

=====

Record 5
Li3YSb2: computed powder X-ray diffraction pattern (Cu Kα), based on a crystal structure in the Materials Project, relaxed with GGA-PBE.
Peak positions follow from Bragg's law for the DFT cell and can differ from measured ones.

Crystal structure
```
6
Lattice="4.559 0.000 0.000 -2.280 3.948 0.000 0.000 0.000 7.163" Properties=species:S:1:pos:R:3 pbc="T T T"
Li 0.000 0.000 0.000
Li 0.000 2.632 1.102
Li 2.280 1.316 6.061
Y 0.000 0.000 3.582
Sb 0.000 2.632 5.362
Sb 2.280 1.316 1.801
```

Peak list (12 most intense, 2θ from 10° to 80°, sorted by position)
2θ = 12.36°, intensity 13; 2θ = 25.76°, intensity 100; 2θ = 33.79°, intensity 49; 2θ = 39.53°, intensity 40; 2θ = 44.33°, intensity 24; 2θ = 47.79°, intensity 18; 2θ = 52.96°, intensity 13; 2θ = 60.89°, intensity 9; 2θ = 63.70°, intensity 15; 2θ = 66.38°, intensity 15; 2θ = 68.06°, intensity 12; 2θ = 75.06°, intensity 10

=====

Record 6
Li5Y2Sb4: computed powder X-ray diffraction pattern (Cu Kα), based on a crystal structure in the Materials Project, relaxed with GGA-PBE.
Peak positions follow from Bragg's law for the DFT cell and can differ from measured ones.

Crystal structure
```
11
Lattice="8.110 -2.243 0.000 8.110 2.243 0.000 -3.732 0.000 6.904" Properties=species:S:1:pos:R:3 pbc="T T T"
Li 0.000 0.000 0.000
Li -1.465 0.000 5.311
Li 6.130 0.000 3.722
Li 8.469 0.000 1.851
Li 14.063 0.000 1.965
Y 3.214 0.000 1.926
Y 9.431 0.000 5.367
Sb 0.394 0.000 3.362
Sb 6.032 0.000 0.420
Sb 6.655 0.000 6.836
Sb 12.229 0.000 3.983
```

Peak list (12 most intense, 2θ from 10° to 80°, sorted by position)
2θ = 12.41°, intensity 15; 2θ = 24.96°, intensity 9; 2θ = 26.01°, intensity 100; 2θ = 26.12°, intensity 10; 2θ = 34.00°, intensity 20; 2θ = 34.15°, intensity 27; 2θ = 39.89°, intensity 29; 2θ = 40.20°, intensity 15; 2θ = 44.74°, intensity 17; 2θ = 48.51°, intensity 12; 2θ = 64.33°, intensity 10; 2θ = 67.08°, intensity 11